For BaTb2MnN4, a crystal structure in Alexandria, relaxed with GGA-PBE gives the theoretical powder diffraction line list in this record (Cu Kα X-rays).
Lines closer than 0.1° are merged.

Structure:
Unit cell a=3.500 b=12.197 c=11.795 alpha=90.00 beta=90.00 gamma=90.00
Space group Cmcm (No. 63)
Inequivalent atoms, fractional coordinates:
Ba1 0.000 0.092 0.250 [4 per cell]
Tb1 0.000 0.369 0.043 [8 per cell]
Mn1 0.000 0.178 0.750 [4 per cell]
N1 0.000 0.000 0.000 [4 per cell]
N2 0.000 0.256 0.620 [8 per cell]
N3 0.000 0.391 0.250 [4 per cell]

Most intense lines, 10° ≤ 2θ ≤ 80°, in order of rising 2θ:
two_theta	Rel. int.
27.0	66
29.3	48
30.3	49
30.6	100
34.7	42
37.2	60
47.0	26
51.2	20
51.9	29
59.8	21

---

For PrDy2Se5, a crystal structure in Alexandria, relaxed with GGA-PBE gives the theoretical powder diffraction line list in this record (Cu Kα X-rays).
Lines closer than 0.1° are merged.

Structure:
Unit cell a=7.679 b=7.679 c=13.261 alpha=90.00 beta=90.00 gamma=90.00
Space group I4/mcm (No. 140)
Inequivalent atoms, fractional coordinates:
Pr1 0.000 0.000 0.250 [4 per cell]
Dy1 0.156 0.344 0.000 [8 per cell]
Se1 0.000 0.000 0.000 [4 per cell]
Se2 0.154 0.346 0.355 [16 per cell]

Most intense lines, 10° ≤ 2θ ≤ 80°, in order of rising 2θ:
two_theta	Rel. int.
13.4	14
21.1	11
26.8	20
31.6	10
33.0	100
37.0	49
43.1	21
53.4	20
68.5	12
69.2	19

---

For Nd2Ga4Rh5, a crystal structure in Alexandria, relaxed with GGA-PBE gives the theoretical powder diffraction line list in this record (Cu Kα X-rays).
Lines closer than 0.1° are merged.

Structure:
Unit cell a=5.766 b=9.609 c=14.829 alpha=90.00 beta=90.00 gamma=90.00
Space group Fmmm (No. 69)
Inequivalent atoms, fractional coordinates:
Nd1 0.000 0.000 0.125 [8 per cell]
Ga1 0.000 0.158 0.370 [16 per cell]
Rh1 0.000 0.000 0.500 [4 per cell]
Rh2 0.250 0.250 0.000 [8 per cell]
Rh3 0.250 0.250 0.250 [8 per cell]

Most intense lines, 10° ≤ 2θ ≤ 80°, in order of rising 2θ:
two_theta	Rel. int.
30.5	61
32.5	37
36.3	79
36.9	86
39.6	100
44.5	41
49.2	40
62.6	31
64.7	31
66.8	31